Record 1
For Tl8Os8O27, a crystal structure in Alexandria, relaxed with GGA-PBE gives the simulated powder X-ray diffraction pattern in this record (Cu Kα X-rays).
Intensities are scaled so that the largest is 100.

Structure:
Unit cell a=7.3758 b=7.3758 c=10.4654 alpha=90.00 beta=90.00 gamma=90.00
Space group P-4m2 (No. 115)
Unique sites:
Tl (0.0000, 0.2372, 0.3815) x4
Tl (0.2491, 0.5000, 0.1268) x4
Os (0.0000, 0.2500, 0.8762) x4
Os (0.2500, 0.5000, 0.6261) x4
O (0.0000, 0.0000, 0.1696) x2
O (0.0000, 0.5000, 0.2462) x2
O (0.0000, 0.5000, 0.5693) x2
O (0.0000, 0.5000, 0.9470) x2
O (0.1945, 0.3124, 0.7536) x8
O (0.2013, 0.2013, 0.0000) x4
O (0.3174, 0.3174, 0.5000) x4
O (0.5000, 0.5000, 0.0000) x1
O (0.5000, 0.5000, 0.2970) x2

Top 8 peaks for 5 to 70 degrees two-theta, most intense first:
| Position (°2θ) | I/Imax | hkl |
| --- | --- | --- |
| 29.64 | 100 | 2 0 2 |
| 49.37 | 41 | 4 0 0 |
| 58.69 | 30 | 4 2 2 |
| 34.39 | 27 | 2 2 0 |
| 58.54 | 15 | 2 0 6 |
| 34.27 | 14 | 0 0 4 |
| 61.53 | 12 | 4 0 4 |
| 37.54 | 1 | 3 0 1 |


Record 2
For Hf4As5H, a crystal structure in Alexandria, relaxed with GGA-PBE gives the simulated powder X-ray diffraction pattern in this record (Cu Kα X-rays).
Intensities are scaled so that the largest is 100.

Structure:
Unit cell a=14.2798 b=3.6532 c=7.4364 alpha=90.00 beta=92.86 gamma=90.00
Space group C2/m (No. 12)
Unique sites:
Hf (0.0162, 0.0000, 0.2424) x4
Hf (0.1431, 0.5000, 0.9587) x4
As (0.0000, 0.5000, 0.5000) x2
As (0.1653, 0.0000, 0.6605) x4
As (0.1976, 0.0000, 0.2155) x4
H (0.0000, 0.5000, 0.0000) x2

Top 10 peaks for 5 to 70 degrees two-theta, most intense first:
| Position (°2θ) | I/Imax | hkl |
| --- | --- | --- |
| 35.25 | 100 | 1 1 2 |
| 37.86 | 39 | 6 0 0 |
| 11.92 | 33 | 0 0 1 |
| 32.84 | 30 | 3 1 -1 |
| 46.38 | 29 | 5 1 -2 |
| 49.93 | 21 | 0 2 0 |
| 33.98 | 20 | 4 0 -2 |
| 40.11 | 19 | 5 1 0 |
| 28.30 | 18 | 4 0 1 |
| 33.55 | 17 | 3 1 1 |


Record 3
For ZnGe, a crystal structure in Alexandria, relaxed with GGA-PBE gives the simulated powder X-ray diffraction pattern in this record (Cu Kα X-rays).
Intensities are scaled so that the largest is 100.

Structure:
Unit cell a=9.7068 b=9.7068 c=3.9625 alpha=90.00 beta=90.00 gamma=120.00
Space group P6_3/m (No. 176)
Unique sites:
Zn (0.1928, 0.4832, 0.2500) x6
Ge (0.0067, 0.6019, 0.2500) x6

Top 10 peaks for 5 to 70 degrees two-theta, most intense first:
| Position (°2θ) | I/Imax | hkl |
| --- | --- | --- |
| 10.52 | 100 | 1 0 0 |
| 45.12 | 59 | 1 3 1 |
| 24.84 | 41 | 1 0 1 |
| 43.74 | 28 | 2 2 1 |
| 47.12 | 21 | 2 3 0 |
| 29.09 | 19 | 1 1 1 |
| 38.62 | 16 | 1 3 0 |
| 28.08 | 16 | 1 2 0 |
| 45.80 | 14 | 0 0 2 |
| 67.81 | 11 | 2 3 2 |


Record 4
For Sr7Bi3N2, a crystal structure in Alexandria, relaxed with GGA-PBE gives the simulated powder X-ray diffraction pattern in this record (Cu Kα X-rays).
Intensities are scaled so that the largest is 100.

Structure:
Unit cell a=5.2924 b=26.9641 c=5.1554 alpha=90.00 beta=90.00 gamma=90.00
Space group Cmmm (No. 65)
Unique sites:
Sr (0.0000, 0.0000, 0.0000) x2
Sr (0.0000, 0.0976, 0.5000) x4
Sr (0.0000, 0.1950, 0.0000) x4
Sr (0.0000, 0.4015, 0.0000) x4
Bi (0.0000, 0.3108, 0.5000) x4
Bi (0.0000, 0.5000, 0.5000) x2
N (0.0000, 0.0993, 0.0000) x4

Top 10 peaks for 5 to 70 degrees two-theta, most intense first:
| Position (°2θ) | I/Imax | hkl |
| --- | --- | --- |
| 29.31 | 100 | 1 5 1 |
| 33.88 | 20 | 2 0 0 |
| 34.80 | 18 | 0 0 2 |
| 33.23 | 17 | 0 10 0 |
| 57.83 | 15 | 3 5 1 |
| 59.06 | 14 | 1 5 3 |
| 49.36 | 14 | 2 0 2 |
| 48.18 | 12 | 2 10 0 |
| 60.80 | 12 | 2 10 2 |
| 48.88 | 12 | 0 10 2 |


Record 5
For BiAs3Se, a crystal structure in Alexandria, relaxed with GGA-PBE gives the simulated powder X-ray diffraction pattern in this record (Cu Kα X-rays).
Intensities are scaled so that the largest is 100.

Structure:
Unit cell a=5.4296 b=5.4296 c=5.4296 alpha=90.00 beta=90.00 gamma=90.00
Space group Pm-3m (No. 221)
Unique sites:
Bi (0.0000, 0.0000, 0.0000) x1
As (0.0000, 0.0000, 0.5000) x3
Se (0.5000, 0.5000, 0.5000) x1

Top 10 peaks for 5 to 70 degrees two-theta, most intense first:
| Position (°2θ) | I/Imax | hkl |
| --- | --- | --- |
| 32.99 | 100 | 2 0 0 |
| 16.33 | 82 | 1 0 0 |
| 23.17 | 78 | 1 1 0 |
| 47.36 | 73 | 2 2 0 |
| 37.02 | 46 | 2 1 0 |
| 40.70 | 37 | 2 1 1 |
| 58.92 | 25 | 2 2 2 |
| 50.42 | 24 | 3 0 0 |
| 64.18 | 20 | 3 2 1 |
| 53.36 | 17 | 3 1 0 |


Record 6
For Mg4Ag8Hg, a crystal structure in Alexandria, relaxed with GGA-PBE gives the simulated powder X-ray diffraction pattern in this record (Cu Kα X-rays).
Intensities are scaled so that the largest is 100.

Structure:
Unit cell a=3.1936 b=4.6794 c=16.9298 alpha=90.00 beta=90.00 gamma=90.00
Space group Pmm2 (No. 25)
Unique sites:
Mg (0.0000, 0.0000, 0.0000) x1
Mg (0.0000, 0.5000, 0.1698) x1
Mg (0.5000, 0.0000, 0.4215) x1
Mg (0.5000, 0.5000, 0.6112) x1
Ag (0.0000, 0.0000, 0.2795) x1
Ag (0.0000, 0.0000, 0.5618) x1
Ag (0.0000, 0.5000, 0.4621) x1
Ag (0.0000, 0.5000, 0.8775) x1
Ag (0.5000, 0.0000, 0.1371) x1
Ag (0.5000, 0.0000, 0.8650) x1
Ag (0.5000, 0.5000, 0.0249) x1
Ag (0.5000, 0.5000, 0.3153) x1
Hg (0.0000, 0.0000, 0.7249) x1

Top 10 peaks for 5 to 70 degrees two-theta, most intense first:
| Position (°2θ) | I/Imax | hkl |
| --- | --- | --- |
| 37.64 | 100 | 1 1 3 |
| 40.29 | 84 | 1 1 4 |
| 21.70 | 64 | 0 1 2 |
| 38.48 | 64 | 0 2 0 |
| 37.18 | 56 | 0 0 7 |
| 28.44 | 36 | 1 0 1 |
| 42.05 | 29 | 0 1 7 |
| 54.57 | 28 | 0 2 7 |
| 35.65 | 24 | 1 1 2 |
| 35.20 | 21 | 1 0 4 |


Record 7
For Sb16Te3, a crystal structure in Alexandria, relaxed with GGA-PBE gives the simulated powder X-ray diffraction pattern in this record (Cu Kα X-rays).
Intensities are scaled so that the largest is 100.

Structure:
Unit cell a=4.4010 b=4.4010 c=109.9796 alpha=90.00 beta=90.00 gamma=120.00
Space group R-3m (No. 166, hexagonal axes)
Unique sites:
Sb (0.0000, 0.0000, 0.0281) x6
Sb (0.0000, 0.0000, 0.0762) x6
Sb (0.0000, 0.0000, 0.1845) x6
Sb (0.0000, 0.0000, 0.2359) x6
Sb (0.0000, 0.0000, 0.2919) x6
Sb (0.0000, 0.0000, 0.3400) x6
Sb (0.0000, 0.0000, 0.3961) x6
Sb (0.0000, 0.0000, 0.4443) x6
Te (0.0000, 0.0000, 0.1337) x6
Te (0.0000, 0.0000, 0.5000) x3

Top 10 peaks for 5 to 70 degrees two-theta, most intense first:
| Position (°2θ) | I/Imax | hkl |
| --- | --- | --- |
| 28.03 | 100 | 1 0 19 |
| 41.02 | 38 | 1 1 0 |
| 39.08 | 34 | 0 1 38 |
| 50.41 | 19 | 0 2 19 |
| 66.94 | 16 | 2 1 19 |
| 64.19 | 13 | 1 1 57 |
| 57.94 | 11 | 2 0 38 |
| 46.97 | 6 | 1 0 49 |
| 47.10 | 5 | 0 0 57 |
| 62.35 | 4 | 0 1 68 |


Record 8
For TcPb2BrO4, a crystal structure in Alexandria, relaxed with GGA-PBE gives the simulated powder X-ray diffraction pattern in this record (Cu Kα X-rays).
Intensities are scaled so that the largest is 100.

Structure:
Unit cell a=10.0489 b=3.4908 c=9.2781 alpha=90.00 beta=111.39 gamma=90.00
Space group C2/m (No. 12)
Unique sites:
Tc (0.0000, 0.0000, 0.0000) x2
Pb (0.1829, 0.0000, 0.7854) x4
Br (0.0000, 0.5000, 0.5000) x2
O (0.1064, 0.5000, 0.9567) x4
O (0.1325, 0.0000, 0.1966) x4

Top 10 peaks for 5 to 70 degrees two-theta, most intense first:
| Position (°2θ) | I/Imax | hkl |
| --- | --- | --- |
| 30.43 | 100 | 1 1 1 |
| 38.68 | 71 | 3 1 -2 |
| 17.97 | 57 | 2 0 -1 |
| 10.24 | 53 | 0 0 1 |
| 32.96 | 45 | 2 0 2 |
| 22.35 | 37 | 2 0 -2 |
| 32.15 | 29 | 1 1 -2 |
| 29.92 | 28 | 2 0 -3 |
| 38.96 | 24 | 1 1 -3 |
| 53.05 | 22 | 5 1 -1 |